No. 1
This entry pairs a crystal structure of TlRe2AuO8 with its theoretical X-ray diffraction stick pattern. Radiation: Cu Kα (λ = 1.5418 Å). Structure: DFT lattice parameters and positions (PBE).
Intensities are scaled so that the largest is 100.

Most intense lines, 10 to 90 degrees two-theta, in order of rising 2θ:
2θ = 24.15°, rel. 94; 2θ = 24.93°, rel. 62; 2θ = 26.69°, rel. 100; 2θ = 30.21°, rel. 38; 2θ = 39.55°, rel. 33; 2θ = 41.83°, rel. 21; 2θ = 45.18°, rel. 16; 2θ = 46.52°, rel. 21; 2θ = 50.12°, rel. 18; 2θ = 51.54°, rel. 17

Structure:
```
TlRe2AuO8
1.0
6.118 -2.959 0.000
6.118 2.959 0.000
-3.252 0.000 6.460
Tl Re Au O
1 2 1 8
direct
0.000 0.000 0.000 Tl
0.202 0.202 0.678 Re
0.798 0.798 0.322 Re
0.500 0.500 0.500 Au
0.108 0.626 0.272 O
0.174 0.174 0.418 O
0.359 0.359 0.838 O
0.374 0.892 0.728 O
0.626 0.108 0.272 O
0.641 0.641 0.162 O
0.826 0.826 0.582 O
0.892 0.374 0.728 O
```

---

No. 2
This entry pairs a crystal structure of AuSO4 with its theoretical X-ray diffraction stick pattern. Radiation: Cu Kα (λ = 1.5418 Å). Structure: DFT lattice parameters and positions (PBE).
Intensities are scaled so that the largest is 100.

Most intense lines, 10 to 90 degrees two-theta, in order of rising 2θ:
2θ = 16.63°, rel. 100; 2θ = 24.55°, rel. 18; 2θ = 26.64°, rel. 18; 2θ = 28.96°, rel. 14; 2θ = 33.44°, rel. 23; 2θ = 34.26°, rel. 9; 2θ = 37.54°, rel. 8; 2θ = 39.72°, rel. 8; 2θ = 41.12°, rel. 8; 2θ = 41.29°, rel. 19

Structure:
```
AuSO4
1.0
8.577 0.000 0.000
0.000 10.698 0.000
0.000 0.000 8.778
Au S O
8 8 32
direct
0.055 0.016 0.133 Au
0.055 0.484 0.633 Au
0.445 0.516 0.133 Au
0.445 0.984 0.633 Au
0.555 0.016 0.367 Au
0.555 0.484 0.867 Au
0.945 0.516 0.367 Au
0.945 0.984 0.867 Au
0.235 0.139 0.419 S
0.235 0.361 0.919 S
0.265 0.639 0.419 S
0.265 0.861 0.919 S
0.735 0.139 0.081 S
0.735 0.361 0.581 S
0.765 0.639 0.081 S
0.765 0.861 0.581 S
0.113 0.647 0.327 O
0.113 0.853 0.827 O
0.142 0.029 0.365 O
0.142 0.471 0.865 O
0.157 0.242 0.911 O
0.157 0.258 0.411 O
0.226 0.611 0.586 O
0.226 0.889 0.086 O
0.274 0.111 0.586 O
0.274 0.389 0.086 O
0.343 0.742 0.911 O
0.343 0.758 0.411 O
0.358 0.529 0.365 O
0.358 0.971 0.865 O
0.387 0.147 0.327 O
0.387 0.353 0.827 O
0.613 0.647 0.173 O
0.613 0.853 0.673 O
0.642 0.029 0.135 O
0.642 0.471 0.635 O
0.657 0.242 0.589 O
0.657 0.258 0.089 O
0.726 0.611 0.914 O
0.726 0.889 0.414 O
0.774 0.111 0.914 O
0.774 0.389 0.414 O
0.843 0.742 0.589 O
0.843 0.758 0.089 O
0.858 0.529 0.135 O
0.858 0.971 0.635 O
0.887 0.147 0.173 O
0.887 0.353 0.673 O
```

---

No. 3
This entry pairs a crystal structure of Au2SO6 with its theoretical X-ray diffraction stick pattern. Radiation: Cu Kα (λ = 1.5418 Å). Structure: DFT lattice parameters and positions (PBE).
Intensities are scaled so that the largest is 100.

Most intense lines, 10 to 90 degrees two-theta, in order of rising 2θ:
2θ = 12.75°, rel. 24; 2θ = 22.50°, rel. 57; 2θ = 22.82°, rel. 82; 2θ = 23.00°, rel. 32; 2θ = 24.11°, rel. 44; 2θ = 27.10°, rel. 100; 2θ = 31.78°, rel. 49; 2θ = 39.30°, rel. 26; 2θ = 40.40°, rel. 24; 2θ = 44.31°, rel. 32

Structure:
```
Au2SO6
1.0
7.191 0.000 0.000
0.000 4.655 0.000
-2.129 0.000 7.903
Au S O
4 2 12
direct
0.000 0.161 0.000 Au
0.000 0.839 0.500 Au
0.360 0.327 0.608 Au
0.360 0.673 0.108 Au
0.685 0.170 0.197 S
0.685 0.830 0.697 S
0.119 0.497 0.132 O
0.119 0.503 0.632 O
0.241 0.003 0.965 O
0.241 0.997 0.465 O
0.520 0.322 0.238 O
0.520 0.678 0.738 O
0.636 0.138 0.655 O
0.636 0.862 0.155 O
0.736 0.313 0.051 O
0.736 0.687 0.551 O
0.853 0.182 0.349 O
0.853 0.818 0.849 O
```

---

No. 4
This entry pairs a crystal structure of AuS6O2 with its theoretical X-ray diffraction stick pattern. Radiation: Cu Kα (λ = 1.5418 Å). Structure: DFT lattice parameters and positions (PBE).
Intensities are scaled so that the largest is 100.

Most intense lines, 10 to 90 degrees two-theta, in order of rising 2θ:
2θ = 10.99°, rel. 100; 2θ = 16.09°, rel. 81; 2θ = 17.46°, rel. 57; 2θ = 18.30°, rel. 28; 2θ = 19.87°, rel. 21; 2θ = 24.29°, rel. 40; 2θ = 31.44°, rel. 40; 2θ = 32.11°, rel. 18; 2θ = 33.23°, rel. 20; 2θ = 39.71°, rel. 26

Structure:
```
AuS6O2
1.0
4.516 -9.255 0.000
4.516 9.255 0.000
-0.971 0.000 6.695
Au S O
2 12 4
direct
0.168 0.832 0.750 Au
0.832 0.168 0.250 Au
0.002 0.694 0.282 S
0.034 0.200 0.481 S
0.200 0.034 0.981 S
0.225 0.654 0.614 S
0.306 0.998 0.218 S
0.346 0.775 0.886 S
0.654 0.225 0.114 S
0.694 0.002 0.782 S
0.775 0.346 0.386 S
0.800 0.966 0.019 S
0.966 0.800 0.519 S
0.998 0.306 0.718 S
0.110 0.343 0.899 O
0.343 0.110 0.399 O
0.657 0.890 0.601 O
0.890 0.657 0.101 O
```

---

No. 5
This entry pairs a crystal structure of Sc2Au2O7 with its theoretical X-ray diffraction stick pattern. Radiation: Cu Kα (λ = 1.5418 Å). Structure: DFT lattice parameters and positions (PBE).
Intensities are scaled so that the largest is 100.

Most intense lines, 10 to 90 degrees two-theta, in order of rising 2θ:
2θ = 15.09°, rel. 45; 2θ = 29.12°, rel. 40; 2θ = 30.45°, rel. 100; 2θ = 35.30°, rel. 30; 2θ = 46.39°, rel. 14; 2θ = 50.78°, rel. 51; 2θ = 53.29°, rel. 13; 2θ = 60.37°, rel. 43; 2θ = 82.73°, rel. 18; 2θ = 85.37°, rel. 12

Structure:
```
Sc2Au2O7
1.0
0.000 5.085 5.085
5.085 0.000 5.085
5.085 5.085 0.000
Sc Au O
4 4 14
direct
0.000 0.000 0.000 Sc
0.000 0.000 0.500 Sc
0.000 0.500 0.000 Sc
0.500 0.000 0.000 Sc
0.000 0.500 0.500 Au
0.500 0.000 0.500 Au
0.500 0.500 0.000 Au
0.500 0.500 0.500 Au
0.125 0.125 0.125 O
0.144 0.144 0.606 O
0.144 0.606 0.144 O
0.144 0.606 0.606 O
0.394 0.394 0.856 O
0.394 0.856 0.394 O
0.394 0.856 0.856 O
0.606 0.144 0.144 O
0.606 0.144 0.606 O
0.606 0.606 0.144 O
0.856 0.394 0.394 O
0.856 0.394 0.856 O
0.856 0.856 0.394 O
0.875 0.875 0.875 O
```

---

No. 6
This entry pairs a crystal structure of ScZnAuO4 with its theoretical X-ray diffraction stick pattern. Radiation: Cu Kα (λ = 1.5418 Å). Structure: DFT lattice parameters and positions (PBE).
Intensities are scaled so that the largest is 100.

Most intense lines, 10 to 90 degrees two-theta, in order of rising 2θ:
2θ = 16.98°, rel. 85; 2θ = 17.95°, rel. 41; 2θ = 29.03°, rel. 30; 2θ = 30.79°, rel. 84; 2θ = 33.93°, rel. 100; 2θ = 34.34°, rel. 25; 2θ = 34.46°, rel. 25; 2θ = 41.62°, rel. 24; 2θ = 54.67°, rel. 26; 2θ = 56.43°, rel. 44

Structure:
```
ScZnAuO4
1.0
-3.062 3.076 4.943
3.062 -3.076 4.943
3.062 3.076 -4.943
Sc Zn Au O
2 2 2 8
direct
0.000 0.000 0.000 Sc
0.500 0.000 0.500 Sc
0.374 0.624 0.750 Zn
0.626 0.376 0.250 Zn
0.000 0.000 0.500 Au
0.000 0.500 0.000 Au
0.202 0.229 0.972 O
0.243 0.771 0.472 O
0.285 0.259 0.474 O
0.285 0.811 0.026 O
0.715 0.189 0.974 O
0.715 0.741 0.526 O
0.757 0.229 0.528 O
0.798 0.771 0.028 O
```

---

No. 7
This entry pairs a crystal structure of Au2Se2O7 with its theoretical X-ray diffraction stick pattern. Radiation: Cu Kα (λ = 1.5418 Å). Structure: DFT lattice parameters and positions (PBE).
Intensities are scaled so that the largest is 100.

Most intense lines, 10 to 90 degrees two-theta, in order of rising 2θ:
2θ = 15.34°, rel. 31; 2θ = 19.65°, rel. 32; 2θ = 20.58°, rel. 100; 2θ = 25.22°, rel. 25; 2θ = 25.76°, rel. 70; 2θ = 28.60°, rel. 43; 2θ = 29.07°, rel. 24; 2θ = 33.40°, rel. 49; 2θ = 35.88°, rel. 28; 2θ = 39.55°, rel. 44

Structure:
```
Au2Se2O7
1.0
7.256 0.000 0.000
0.000 11.550 0.000
0.000 0.000 4.315
Au Se O
4 4 14
direct
0.194 0.063 0.000 Au
0.306 0.563 0.000 Au
0.694 0.437 0.000 Au
0.806 0.937 0.000 Au
0.102 0.329 0.756 Se
0.398 0.829 0.756 Se
0.602 0.171 0.756 Se
0.898 0.671 0.756 Se
0.000 0.000 0.281 O
0.036 0.208 0.978 O
0.120 0.624 0.673 O
0.163 0.415 0.075 O
0.337 0.915 0.075 O
0.380 0.124 0.673 O
0.464 0.708 0.978 O
0.500 0.500 0.281 O
0.536 0.292 0.978 O
0.620 0.876 0.673 O
0.663 0.085 0.075 O
0.837 0.585 0.075 O
0.880 0.376 0.673 O
0.964 0.792 0.978 O
```

---

No. 8
This entry pairs a crystal structure of AuSeO2 with its theoretical X-ray diffraction stick pattern. Radiation: Cu Kα (λ = 1.5418 Å). Structure: DFT lattice parameters and positions (PBE).
Intensities are scaled so that the largest is 100.

Most intense lines, 10 to 90 degrees two-theta, in order of rising 2θ:
2θ = 14.84°, rel. 69; 2θ = 21.83°, rel. 27; 2θ = 26.46°, rel. 74; 2θ = 29.98°, rel. 100; 2θ = 30.91°, rel. 64; 2θ = 36.00°, rel. 36; 2θ = 37.50°, rel. 25; 2θ = 39.68°, rel. 25; 2θ = 41.07°, rel. 29; 2θ = 44.51°, rel. 32

Structure:
```
AuSeO2
1.0
12.843 0.000 0.000
0.000 4.330 0.000
-1.981 0.000 4.989
Au Se O
4 4 8
direct
0.000 0.245 0.000 Au
0.000 0.755 0.500 Au
0.500 0.255 0.500 Au
0.500 0.745 0.000 Au
0.247 0.443 0.512 Se
0.247 0.557 0.012 Se
0.747 0.057 0.012 Se
0.747 0.943 0.512 Se
0.080 0.395 0.388 O
0.080 0.605 0.888 O
0.416 0.412 0.117 O
0.416 0.588 0.617 O
0.580 0.105 0.888 O
0.580 0.895 0.388 O
0.916 0.088 0.617 O
0.916 0.912 0.117 O
```

---

No. 9
This entry pairs a crystal structure of Au2Se3O10 with its theoretical X-ray diffraction stick pattern. Radiation: Cu Kα (λ = 1.5418 Å). Structure: DFT lattice parameters and positions (PBE).
Intensities are scaled so that the largest is 100.

Most intense lines, 10 to 90 degrees two-theta, in order of rising 2θ:
2θ = 10.16°, rel. 57; 2θ = 14.74°, rel. 69; 2θ = 19.84°, rel. 98; 2θ = 22.34°, rel. 56; 2θ = 24.80°, rel. 60; 2θ = 27.86°, rel. 55; 2θ = 28.61°, rel. 52; 2θ = 28.79°, rel. 100; 2θ = 30.83°, rel. 77; 2θ = 45.71°, rel. 75

Structure:
```
Au2Se3O10
1.0
8.703 -3.202 0.000
8.703 3.202 0.000
0.000 0.000 8.950
Au Se O
4 6 20
direct
0.140 0.176 0.000 Au
0.176 0.140 0.500 Au
0.824 0.860 0.000 Au
0.860 0.824 0.500 Au
0.153 0.847 0.138 Se
0.310 0.363 0.887 Se
0.363 0.310 0.387 Se
0.637 0.690 0.887 Se
0.690 0.637 0.387 Se
0.847 0.153 0.638 Se
0.058 0.098 0.164 O
0.098 0.058 0.664 O
0.123 0.539 0.034 O
0.181 0.516 0.521 O
0.225 0.253 0.836 O
0.246 0.754 0.968 O
0.253 0.225 0.336 O
0.308 0.692 0.284 O
0.461 0.877 0.034 O
0.484 0.819 0.521 O
0.516 0.181 0.021 O
0.539 0.123 0.534 O
0.692 0.308 0.784 O
0.747 0.775 0.836 O
0.754 0.246 0.468 O
0.775 0.747 0.336 O
0.819 0.484 0.021 O
0.877 0.461 0.534 O
0.902 0.942 0.164 O
0.942 0.902 0.664 O
```

---

No. 10
This entry pairs a crystal structure of AuSeO4 with its theoretical X-ray diffraction stick pattern. Radiation: Cu Kα (λ = 1.5418 Å). Structure: DFT lattice parameters and positions (PBE).
Intensities are scaled so that the largest is 100.

Most intense lines, 10 to 90 degrees two-theta, in order of rising 2θ:
2θ = 10.49°, rel. 75; 2θ = 21.07°, rel. 60; 2θ = 22.34°, rel. 24; 2θ = 27.67°, rel. 36; 2θ = 28.41°, rel. 94; 2θ = 28.93°, rel. 100; 2θ = 31.83°, rel. 20; 2θ = 33.96°, rel. 49; 2θ = 35.91°, rel. 21; 2θ = 37.70°, rel. 28

Structure:
```
AuSeO4
1.0
4.514 0.000 0.000
0.000 8.435 0.000
-0.103 0.000 5.002
Au Se O
2 2 8
direct
0.000 0.171 0.250 Au
0.000 0.829 0.750 Au
0.500 0.245 0.750 Se
0.500 0.755 0.250 Se
0.269 0.115 0.579 O
0.269 0.885 0.079 O
0.305 0.347 0.971 O
0.305 0.653 0.471 O
0.695 0.347 0.529 O
0.695 0.653 0.029 O
0.731 0.115 0.921 O
0.731 0.885 0.421 O
```

---

No. 11
This entry pairs a crystal structure of Sm3AuO6 with its theoretical X-ray diffraction stick pattern. Radiation: Cu Kα (λ = 1.5418 Å). Structure: DFT lattice parameters and positions (PBE).
Intensities are scaled so that the largest is 100.

Most intense lines, 10 to 90 degrees two-theta, in order of rising 2θ:
2θ = 28.77°, rel. 96; 2θ = 29.37°, rel. 73; 2θ = 29.80°, rel. 100; 2θ = 30.21°, rel. 88; 2θ = 31.29°, rel. 55; 2θ = 31.53°, rel. 59; 2θ = 39.37°, rel. 32; 2θ = 44.89°, rel. 39; 2θ = 45.15°, rel. 30; 2θ = 55.55°, rel. 33

Structure:
```
Sm3AuO6
1.0
3.745 0.000 0.000
-0.111 5.675 0.000
-1.569 -0.103 6.996
Sm Au O
3 1 6
direct
0.000 0.000 0.000 Sm
0.391 0.471 0.735 Sm
0.609 0.529 0.265 Sm
0.000 0.000 0.500 Au
0.125 0.793 0.292 O
0.155 0.305 0.386 O
0.482 0.744 0.978 O
0.518 0.256 0.022 O
0.845 0.695 0.614 O
0.875 0.207 0.708 O
```

---

> What is the formula in the sixth record?

ScZnAuO4